# CaTbPrTh
Calculated powder X-ray diffraction pattern, copper Kα. Input: DFT lattice parameters and positions (GGA-PBE).

```
data_CaTbPrTh
_chemical_formula_sum 'Ca4 Tb4 Pr4 Th4'
_symmetry_space_group_name_H-M 'F -4 3 m'
_symmetry_Int_Tables_number 216
_symmetry_space_group_name_Hall 'F -4 2 3'
_cell_length_a 8.214
_cell_length_b 8.214
_cell_length_c 8.214
_cell_angle_alpha 90.00
_cell_angle_beta 90.00
_cell_angle_gamma 90.00
loop_
_atom_site_label
_atom_site_fract_x
_atom_site_fract_y
_atom_site_fract_z
Ca1 0.000 0.000 0.000
Tb1 0.250 0.250 0.750
Pr1 0.250 0.250 0.250
Th1 0.000 0.000 0.500
```

Main lines, sorted by position (10° ≤ 2θ ≤ 80°):
| 2theta | Rel. int. | hkl |
| --- | --- | --- |
| 18.71 | 220 | 1 1 1 |
| 30.79 | 1000 | 2 2 0 |
| 36.27 | 134 | 3 1 1 |
| 44.10 | 187 | 4 0 0 |
| 48.29 | 62 | 3 3 1 |
| 54.74 | 397 | 4 2 2 |
| 64.13 | 123 | 4 4 0 |
| 72.82 | 170 | 6 2 0 |

---

# K3Pt8Pb
Calculated powder X-ray diffraction pattern, copper Kα. Input: DFT lattice parameters and positions (GGA-PBE).

```
data_K3Pt8Pb
_chemical_formula_sum 'K9 Pt24 Pb3'
_symmetry_space_group_name_H-M 'R 3 m'
_symmetry_Int_Tables_number 160
_symmetry_space_group_name_Hall 'R 3 -2"'
_cell_length_a 5.5280
_cell_length_b 5.5280
_cell_length_c 26.9708
_cell_angle_alpha 90.00
_cell_angle_beta 90.00
_cell_angle_gamma 120.00
loop_
_atom_site_label
_atom_site_fract_x
_atom_site_fract_y
_atom_site_fract_z
K1 0.0000 0.0000 0.0000
K2 0.0000 0.0000 0.1235
K3 0.0000 0.0000 0.4957
Pt1 0.0000 0.0000 0.3104
Pt2 0.0000 0.0000 0.8102
Pt3 0.0020 0.5010 0.5623
Pt4 0.1682 0.3363 0.3918
Pb1 0.0000 0.0000 0.6214
```

Main lines, sorted by position (10° ≤ 2θ ≤ 80°):
| 2theta | Rel. int. | hkl |
| --- | --- | --- |
| 19.70 | 691 | 0 0 6 |
| 38.21 | 1000 | 2 0 2 |
| 38.30 | 340 | 1 0 10 |
| 39.97 | 708 | 0 2 4 |
| 40.12 | 222 | 0 0 12 |
| 46.53 | 281 | 2 0 8 |
| 61.71 | 332 | 2 1 10 |
| 67.81 | 216 | 2 2 0 |

---

# Zr3NbTl
Calculated powder X-ray diffraction pattern, copper Kα. Input: DFT lattice parameters and positions (GGA-PBE).

```
data_Zr3NbTl
_chemical_formula_sum 'Zr3 Nb1 Tl1'
_symmetry_space_group_name_H-M 'P m -3 m'
_symmetry_Int_Tables_number 221
_symmetry_space_group_name_Hall '-P 4 2 3'
_cell_length_a 5.115
_cell_length_b 5.115
_cell_length_c 5.115
_cell_angle_alpha 90.00
_cell_angle_beta 90.00
_cell_angle_gamma 90.00
loop_
_atom_site_label
_atom_site_fract_x
_atom_site_fract_y
_atom_site_fract_z
Zr1 0.000 0.000 0.500
Nb1 0.000 0.000 0.000
Tl1 0.500 0.500 0.500
```

Main lines, sorted by position (10° ≤ 2θ ≤ 80°):
| 2theta | Rel. int. | hkl |
| --- | --- | --- |
| 24.62 | 607 | 1 1 0 |
| 30.27 | 880 | 1 1 1 |
| 35.09 | 1000 | 2 0 0 |
| 43.33 | 277 | 2 1 1 |
| 50.47 | 704 | 2 2 0 |
| 59.99 | 374 | 3 1 1 |
| 62.95 | 239 | 2 2 2 |
| 68.66 | 145 | 3 2 1 |

---

# Pm3Tm2Hg2
Calculated powder X-ray diffraction pattern, copper Kα. Input: DFT lattice parameters and positions (GGA-PBE).

```
data_Pm3Tm2Hg2
_chemical_formula_sum 'Pm9 Tm6 Hg6'
_symmetry_space_group_name_H-M 'R -3 m'
_symmetry_Int_Tables_number 166
_symmetry_space_group_name_Hall '-R 3 2"'
_cell_length_a 5.4059
_cell_length_b 5.4059
_cell_length_c 23.9619
_cell_angle_alpha 90.00
_cell_angle_beta 90.00
_cell_angle_gamma 120.00
loop_
_atom_site_label
_atom_site_fract_x
_atom_site_fract_y
_atom_site_fract_z
Pm1 0.0000 0.0000 0.0000
Pm2 0.0000 0.0000 0.1592
Tm1 0.0000 0.0000 0.4263
Hg1 0.0000 0.0000 0.2887
```

Main lines, sorted by position (10° ≤ 2θ ≤ 80°):
| 2theta | Rel. int. | hkl |
| --- | --- | --- |
| 32.40 | 925 | 1 0 7 |
| 33.14 | 1000 | 1 1 0 |
| 47.03 | 331 | 0 2 7 |
| 57.32 | 143 | 0 1 14 |
| 58.74 | 343 | 2 1 7 |
| 59.21 | 192 | 3 0 0 |
| 69.56 | 119 | 2 2 0 |
| 78.84 | 148 | 1 3 7 |